[1]
Structure and computed PXRD pattern of Ce5PuCd2 (a crystal structure in Alexandria, relaxed with GGA-PBE; Cu Kα).

The 6 most intense peaks (10° ≤ 2θ ≤ 80°), low angle first:
32.19°, intensity 100; 34.15°, intensity 89; 37.80°, intensity 67; 39.87°, intensity 26; 56.11°, intensity 36; 63.56°, intensity 25

Structural model:
Cell: 6.4498 6.5764 6.5766 Å, 86.88 60.69 60.69°
Atoms (fractional coordinates):
Ce 0.0000 0.0000 0.0000
Ce 0.0000 0.4548 0.5459
Ce 0.4877 0.4562 0.5458
Ce 0.4888 0.9997 0.0006
Ce 0.9688 0.0014 0.5461
Pu 0.4644 0.0062 0.5511
Cd 0.4621 0.5096 0.0553
Cd 0.9550 0.5170 0.0631

[2]
Structure and computed PXRD pattern of ZrCd5 (a crystal structure in Alexandria, relaxed with GGA-PBE; Cu Kα).

The 6 most intense peaks (10° ≤ 2θ ≤ 80°), low angle first:
35.19°, intensity 100; 38.96°, intensity 38; 44.47°, intensity 13; 56.27°, intensity 12; 60.57°, intensity 19; 68.13°, intensity 27

Structural model:
Cell: 3.2696 3.2696 12.2248 Å, 90.00 90.00 90.00°
Atoms (fractional coordinates):
Zr 0.0000 0.0000 0.0000
Cd 0.0000 0.0000 0.3346
Cd 0.0000 0.0000 0.6654
Cd 0.5000 0.5000 0.1692
Cd 0.5000 0.5000 0.5000
Cd 0.5000 0.5000 0.8308